Starting from a structure optimized by DFT (GGA-PBE), the PXRD pattern of Ge2S3 was computed for a wavelength of 1.5418 Å.
Neutral-atom scattering factors, no anomalous dispersion.

Most intense lines, 2θ from 10° to 90°, sorted by position:
7.344 Å, 12.05°, I = 100; 4.005 Å, 22.19°, I = 16; 3.012 Å, 29.66°, I = 41; 2.961 Å, 30.19°, I = 22; 2.607 Å, 34.40°, I = 39; 1.825 Å, 49.98°, I = 27

Cell and atoms:
```
data_Ge2S3
_chemical_formula_sum 'Ge4 S6'
_cell_length_a 9.8855
_cell_length_b 9.8855
_cell_length_c 8.0116
_cell_angle_alpha 113.16
_cell_angle_beta 113.16
_cell_angle_gamma 20.35
_space_group_name_H-M_alt 'P 1'
_space_group_IT_number 1
_space_group_name_Hall 'P 1'
loop_
_atom_site_label
_atom_site_type_symbol
_atom_site_fract_x
_atom_site_fract_y
_atom_site_fract_z
_atom_site_occupancy
Ge1 Ge 0.0180 0.0180 0.1663 1
Ge2 Ge 0.3259 0.3259 0.0140 1
Ge3 Ge 0.6741 0.6741 0.9860 1
Ge4 Ge 0.9820 0.9820 0.8337 1
S1 S 0.0808 0.0808 0.7615 1
S2 S 0.2533 0.2533 0.1921 1
S3 S 0.4025 0.4025 0.7137 1
S4 S 0.5975 0.5975 0.2863 1
S5 S 0.7467 0.7467 0.8079 1
S6 S 0.9192 0.9192 0.2385 1
```